(1)
Ba3Sr2As3ClO12: simulated X-ray diffraction stick pattern (Cu Kα (weighted mean of Kα1 and Kα2)), based on a cell relaxed with PBE.

Principal peaks in the range 2θ = 10–90°, by angle:
23.25 deg, d 3.825, intensity 20; 25.63 deg, d 3.475, intensity 17; 28.20 deg, d 3.164, intensity 100; 28.77 deg, d 3.103, intensity 57; 29.14 deg, d 3.065, intensity 37; 41.41 deg, d 2.181, intensity 22; 44.05 deg, d 2.056, intensity 30; 44.56 deg, d 2.033, intensity 17; 46.07 deg, d 1.970, intensity 13; 47.54 deg, d 1.913, intensity 12; 57.06 deg, d 1.614, intensity 11; 67.64 deg, d 1.385, intensity 12

Crystal structure
```
Ba3Sr2As3ClO12
1.0
10.6166 0.0000 0.0000
-5.3083 9.1942 0.0000
0.0000 0.0000 7.6503
Ba Sr As Cl O
6 4 6 2 24
direct
0.0039 0.7498 0.2500 Ba
0.2502 0.2541 0.2500 Ba
0.2541 0.0039 0.7500 Ba
0.7459 0.9961 0.2500 Ba
0.7498 0.7459 0.7500 Ba
0.9961 0.2502 0.7500 Ba
0.3333 0.6667 0.0017 Sr
0.3333 0.6667 0.4983 Sr
0.6667 0.3333 0.5017 Sr
0.6667 0.3333 0.9983 Sr
0.0354 0.6191 0.7500 As
0.3809 0.4163 0.7500 As
0.4163 0.0354 0.2500 As
0.5837 0.9646 0.7500 As
0.6191 0.5837 0.2500 As
0.9646 0.3809 0.2500 As
0.0000 0.0000 0.0000 Cl
0.0000 0.0000 0.5000 Cl
0.0891 0.7309 0.5696 O
0.0891 0.7309 0.9304 O
0.1404 0.5361 0.7500 O
0.1485 0.5058 0.2500 O
0.2691 0.3582 0.5696 O
0.2691 0.3582 0.9304 O
0.3573 0.8515 0.2500 O
0.3582 0.0891 0.0696 O
0.3582 0.0891 0.4304 O
0.3957 0.8596 0.7500 O
0.4639 0.6043 0.7500 O
0.4942 0.6427 0.2500 O
0.5058 0.3573 0.7500 O
0.5361 0.3957 0.2500 O
0.6043 0.1404 0.2500 O
0.6418 0.9109 0.5696 O
0.6418 0.9109 0.9304 O
0.6427 0.1485 0.7500 O
0.7309 0.6418 0.0696 O
0.7309 0.6418 0.4304 O
0.8515 0.4942 0.7500 O
0.8596 0.4639 0.2500 O
0.9109 0.2691 0.0696 O
0.9109 0.2691 0.4304 O
```

(2)
B3Pd16: simulated X-ray diffraction stick pattern (Cu Kα (weighted mean of Kα1 and Kα2)), based on a cell relaxed with PBE.

Principal peaks in the range 2θ = 10–90°, by angle:
38.19 deg, d 2.356, intensity 100; 44.29 deg, d 2.045, intensity 34; 44.59 deg, d 2.032, intensity 17; 64.43 deg, d 1.446, intensity 11; 64.64 deg, d 1.442, intensity 5; 64.68 deg, d 1.441, intensity 16; 77.44 deg, d 1.232, intensity 24; 77.87 deg, d 1.227, intensity 12; 81.72 deg, d 1.178, intensity 5; 81.76 deg, d 1.178, intensity 5

Crystal structure
```
B3Pd16
1.0
8.1817 -4.0892 0.0000
8.1817 4.0892 0.0000
-4.0950 0.0000 8.1277
B Pd
6 32
direct
0.1249 0.8751 0.7500 B
0.1986 0.4334 0.0004 B
0.4334 0.1986 0.5004 B
0.5666 0.8014 0.4996 B
0.8014 0.5666 0.9996 B
0.8751 0.1249 0.2500 B
0.0016 0.2526 0.2499 Pd
0.0608 0.8116 0.4934 Pd
0.0639 0.3081 0.9993 Pd
0.1250 0.3733 0.7449 Pd
0.1299 0.8701 0.2500 Pd
0.1792 0.4467 0.4999 Pd
0.1884 0.9392 0.0066 Pd
0.2521 0.5006 0.2552 Pd
0.2526 0.0016 0.7499 Pd
0.3081 0.0639 0.4993 Pd
0.3167 0.5662 0.0002 Pd
0.3733 0.1250 0.2449 Pd
0.3795 0.6205 0.7500 Pd
0.4338 0.6833 0.4998 Pd
0.4467 0.1792 0.9999 Pd
0.4994 0.7479 0.2448 Pd
0.5006 0.2521 0.7552 Pd
0.5533 0.8208 0.0001 Pd
0.5662 0.3167 0.5002 Pd
0.6205 0.3795 0.2500 Pd
0.6267 0.8750 0.7551 Pd
0.6833 0.4338 0.9998 Pd
0.6919 0.9361 0.5007 Pd
0.7474 0.9984 0.2501 Pd
0.7479 0.4994 0.7448 Pd
0.8116 0.0608 0.9934 Pd
0.8208 0.5533 0.5001 Pd
0.8701 0.1299 0.7500 Pd
0.8750 0.6267 0.2551 Pd
0.9361 0.6919 0.0007 Pd
0.9392 0.1884 0.5066 Pd
0.9984 0.7474 0.7501 Pd
```

(3)
Ce7Ge2Os2: simulated X-ray diffraction stick pattern (Cu Kα (weighted mean of Kα1 and Kα2)), based on a cell relaxed with PBE.

Principal peaks in the range 2θ = 10–90°, by angle:
11.84 deg, d 7.472, intensity 32; 28.87 deg, d 3.092, intensity 28; 30.10 deg, d 2.969, intensity 42; 31.38 deg, d 2.851, intensity 26; 33.54 deg, d 2.672, intensity 29; 34.42 deg, d 2.605, intensity 100; 34.65 deg, d 2.589, intensity 32; 36.43 deg, d 2.466, intensity 26; 38.43 deg, d 2.342, intensity 36; 40.92 deg, d 2.206, intensity 18; 46.13 deg, d 1.968, intensity 27; 58.25 deg, d 1.584, intensity 16

Crystal structure
```
Ce7Ge2Os2
1.0
-1.9676 7.4722 4.7480
1.9676 -7.4722 4.7480
1.9676 7.4722 -4.7480
Ce Ge Os
7 2 2
direct
0.0000 0.0000 0.0000 Ce
0.2981 0.4155 0.8826 Ce
0.3123 0.6273 0.6850 Ce
0.5329 0.4155 0.1174 Ce
0.6126 0.2568 0.3557 Ce
0.9011 0.2568 0.6443 Ce
0.9422 0.6273 0.3150 Ce
0.2466 0.7466 0.5000 Ge
0.6810 0.6810 0.0000 Ge
0.1750 0.9363 0.2386 Os
0.6977 0.9363 0.7614 Os
```

(4)
K6ZnBi5: simulated X-ray diffraction stick pattern (Cu Kα (weighted mean of Kα1 and Kα2)), based on a cell relaxed with PBE.

Principal peaks in the range 2θ = 10–90°, by angle:
11.40 deg, d 7.759, intensity 19; 16.85 deg, d 5.262, intensity 100; 18.76 deg, d 4.730, intensity 38; 24.85 deg, d 3.583, intensity 27; 27.92 deg, d 3.196, intensity 30; 28.51 deg, d 3.130, intensity 20; 29.03 deg, d 3.075, intensity 60; 32.00 deg, d 2.797, intensity 40; 33.91 deg, d 2.643, intensity 21; 35.29 deg, d 2.543, intensity 22; 41.95 deg, d 2.154, intensity 24; 48.37 deg, d 1.882, intensity 19

Crystal structure
```
K6ZnBi5
1.0
5.5930 0.0000 0.0000
0.0000 15.5187 0.0000
0.0000 0.0000 11.6832
K Zn Bi
12 2 10
direct
0.2500 0.0183 0.1863 K
0.2500 0.4817 0.1863 K
0.2500 0.6184 0.5615 K
0.2500 0.7500 0.2455 K
0.2500 0.7500 0.8912 K
0.2500 0.8816 0.5615 K
0.7500 0.1184 0.4385 K
0.7500 0.2500 0.1088 K
0.7500 0.2500 0.7545 K
0.7500 0.3816 0.4385 K
0.7500 0.5183 0.8137 K
0.7500 0.9817 0.8137 K
0.2500 0.2500 0.5392 Zn
0.7500 0.7500 0.4608 Zn
0.2500 0.1023 0.6704 Bi
0.2500 0.1514 0.9192 Bi
0.2500 0.2500 0.3073 Bi
0.2500 0.3486 0.9192 Bi
0.2500 0.3977 0.6704 Bi
0.7500 0.6023 0.3296 Bi
0.7500 0.6514 0.0808 Bi
0.7500 0.7500 0.6927 Bi
0.7500 0.8486 0.0808 Bi
0.7500 0.8977 0.3296 Bi
```